Record 1
Computed PXRD pattern
Compound: TaTi2C3
Radiation: CuKα
Structure: DFT lattice parameters and positions (PBE)
Lines closer than 0.1° are merged.

The 10 most intense peaks (2θ from 10° to 90°), in order of rising 2θ:
(1 0 1), 2θ = 17.16°, d 5.166, I 29.0
(0 1 1), 2θ = 22.37°, d 3.974, I 11.7
(1 0 2), 2θ = 23.89°, d 3.724, I 15.9
(1 1 1), 2θ = 26.63°, d 3.347, I 22.8
(1 1 2), 2θ = 31.49°, d 2.841, I 15.0
(2 1 0), 2θ = 35.40°, d 2.535, I 100.0
(2 0 3), 2θ = 41.11°, d 2.196, I 77.3
(4 0 0), 2θ = 59.54°, d 1.553, I 48.8
(4 1 3), 2θ = 71.22°, d 1.324, I 39.6
(4 2 0), 2θ = 74.91°, d 1.268, I 16.1

Cell and atoms:
```
data_TaTi2C3
_chemical_formula_sum 'Ta4 Ti8 C12'
_cell_length_a 6.210
_cell_length_b 4.395
_cell_length_c 9.309
_cell_angle_alpha 90.00
_cell_angle_beta 90.00
_cell_angle_gamma 90.00
_space_group_name_H-M_alt 'P n m a'
_space_group_IT_number 62
loop_
_space_group_symop_operation_xyz
'x,y,z'
'-x,-y,-z'
'-x+1/2,-y,z+1/2'
'x+1/2,y,-z+1/2'
'x+1/2,-y+1/2,-z+1/2'
'-x+1/2,y+1/2,z+1/2'
'-x,y+1/2,-z'
'x,-y+1/2,z'
loop_
_atom_site_label
_atom_site_fract_x
_atom_site_fract_y
_atom_site_fract_z
Ta1 0.127 0.250 0.085
Ti1 0.124 0.250 0.417
Ti2 0.124 0.250 0.749
C1 0.123 0.750 0.416
C2 0.124 0.750 0.750
C3 0.128 0.750 0.084
```

---

Record 2
Computed PXRD pattern
Compound: K5PS4F2
Radiation: CuKα
Structure: DFT lattice parameters and positions (PBE)
Lines closer than 0.1° are merged.

The 10 most intense peaks (2θ from 10° to 90°), in order of rising 2θ:
(0 1 1), 2θ = 14.65°, d 6.048, I 23.6
(0 3 1), 2θ = 26.20°, d 3.402, I 100.0
(2 0 2), 2θ = 33.38°, d 2.685, I 22.8
(2 3 1), 2θ = 34.21°, d 2.621, I 11.2
(2 2 2), 2θ = 36.88°, d 2.437, I 49.6
(3 0 2), 2θ = 41.66°, d 2.168, I 10.9
(4 0 0), 2θ = 43.99°, d 2.059, I 12.7
(2 5 1), 2θ = 46.65°, d 1.947, I 17.4
(3 3 3), 2θ = 56.64°, d 1.625, I 11.3
(2 5 3), 2θ = 60.21°, d 1.537, I 10.1

Cell and atoms:
```
data_K5PS4F2
_chemical_formula_sum 'K10 P2 S8 F4'
_cell_length_a 8.234
_cell_length_b 11.626
_cell_length_c 7.082
_cell_angle_alpha 90.00
_cell_angle_beta 90.00
_cell_angle_gamma 90.00
_space_group_name_H-M_alt 'A m m 2'
_space_group_IT_number 38
loop_
_space_group_symop_operation_xyz
'x,y,z'
'-x,-y,z'
'-x,y,z'
'x,-y,z'
'x,y+1/2,z+1/2'
'-x,-y+1/2,z+1/2'
'-x,y+1/2,z+1/2'
'x,-y+1/2,z+1/2'
loop_
_atom_site_label
_atom_site_fract_x
_atom_site_fract_y
_atom_site_fract_z
K1 0.000 0.000 0.000
K2 0.229 0.206 0.599
P1 0.500 0.000 0.104
S1 0.295 0.000 0.273
S2 0.500 0.141 0.928
F1 0.000 0.203 0.859
```

---

Record 3
Computed PXRD pattern
Compound: Ba2YCd10
Radiation: CuKα
Structure: DFT lattice parameters and positions (PBE)
Lines closer than 0.1° are merged.

The 10 most intense peaks (2θ from 10° to 90°), in order of rising 2θ:
(1 2 -1), 2θ = 29.64°, d 3.014, I 27.7
(2 1 -1), 2θ = 30.13°, d 2.966, I 19.8
(2 1 -2), 2θ = 30.47°, d 2.934, I 19.6
(0 2 3), 2θ = 30.83°, d 2.900, I 43.2
(2 1 -3), 2θ = 31.67°, d 2.825, I 23.9
(1 0 -6), 2θ = 32.11°, d 2.788, I 50.2
(1 2 -3), 2θ = 32.34°, d 2.768, I 100.0
(2 1 2), 2θ = 34.81°, d 2.577, I 56.4
(1 1 5), 2θ = 35.72°, d 2.514, I 51.5
(2 1 3), 2θ = 37.89°, d 2.375, I 22.3

Cell and atoms:
```
data_Ba2YCd10
_chemical_formula_sum 'Ba4 Y2 Cd20'
_cell_length_a 6.598
_cell_length_b 6.801
_cell_length_c 17.074
_cell_angle_alpha 90.00
_cell_angle_beta 103.40
_cell_angle_gamma 90.00
_space_group_name_H-M_alt 'P 1 21/c 1'
_space_group_IT_number 14
loop_
_space_group_symop_operation_xyz
'x,y,z'
'-x,-y,-z'
'-x,y+1/2,-z+1/2'
'x,-y+1/2,z+1/2'
loop_
_atom_site_label
_atom_site_fract_x
_atom_site_fract_y
_atom_site_fract_z
Ba1 0.201 0.115 0.117
Y1 0.500 0.000 0.500
Cd1 0.014 0.111 0.418
Cd2 0.142 0.055 0.761
Cd3 0.271 0.671 0.829
Cd4 0.343 0.065 0.930
Cd5 0.439 0.652 0.175
```